No. 1
# CaAl2Si3O10
Theoretical PXRD pattern, CuKα. Input: the GGA-PBE geometry in the Materials Project.
Intensities are scaled so that the largest is 100.

Peak list (10 most intense, 2θ = 10–90°, low angle first)
- (1 1 0), 6.608 Å, 2θ = 13.4°, I = 100
- (1 -1 0), 5.457 Å, 2θ = 16.2°, I = 35
- (0 1 2), 4.374 Å, 2θ = 20.3°, I = 16
- (2 2 1), 3.357 Å, 2θ = 26.6°, I = 6
- (2 0 -1), 3.327 Å, 2θ = 26.8°, I = 6
- (2 -1 1), 3.297 Å, 2θ = 27.0°, I = 5
- (2 1 -1), 3.283 Å, 2θ = 27.2°, I = 5
- (2 2 2), 3.041 Å, 2θ = 29.4°, I = 7
- (0 3 -1), 2.937 Å, 2θ = 30.4°, I = 7
- (3 1 0), 2.587 Å, 2θ = 34.7°, I = 6

Cell and atoms:
abc: 7.969 9.726 9.748
angles: 83.39 77.55 77.92
Space group P1 (No. 1)
Asymmetric unit:
1 Ca 0.000 0.000 0.000
2 Ca 0.497 0.015 0.998
3 Al 0.169 0.514 0.809
4 Al 0.291 0.942 0.692
5 Al 0.685 0.822 0.506
6 Al 0.775 0.675 0.939
7 Si 0.187 0.246 0.972
8 Si 0.253 0.233 0.722
9 Si 0.444 0.723 0.804
10 Si 0.695 0.979 0.236
11 Si 0.747 0.729 0.228
12 Si 0.925 0.819 0.736
13 O 0.080 0.198 0.853
14 O 0.080 0.906 0.719
15 O 0.134 0.415 0.976
16 O 0.195 0.121 0.092
17 O 0.214 0.397 0.672
18 O 0.311 0.109 0.617
19 O 0.318 0.619 0.795
20 O 0.338 0.879 0.870
21 O 0.381 0.211 0.848
22 O 0.484 0.806 0.636
23 O 0.575 0.862 0.199
24 O 0.605 0.644 0.872
25 O 0.654 0.987 0.404
26 O 0.704 0.098 0.109
27 O 0.724 0.683 0.393
28 O 0.780 0.864 0.885
29 O 0.787 0.617 0.111
30 O 0.845 0.823 0.600
31 O 0.883 0.850 0.192
32 O 0.972 0.646 0.803


No. 2
# Ca2Al4Si8O31
Theoretical PXRD pattern, CuKα. Input: the GGA-PBE geometry in the Materials Project.
Intensities are scaled so that the largest is 100.

Peak list (10 most intense, 2θ = 10–90°, low angle first)
- (2 0 0), 7.055 Å, 2θ = 12.5°, I = 53
- (2 0 -1), 6.148 Å, 2θ = 14.4°, I = 56
- (2 2 -1), 4.534 Å, 2θ = 19.6°, I = 53
- (3 1 0), 4.441 Å, 2θ = 20.0°, I = 41
- (1 3 0), 4.267 Å, 2θ = 20.8°, I = 91
- (4 0 -1), 3.689 Å, 2θ = 24.1°, I = 78
- (0 0 2), 3.571 Å, 2θ = 24.9°, I = 100
- (3 1 -2), 3.343 Å, 2θ = 26.7°, I = 53
- (1 1 2), 3.125 Å, 2θ = 28.6°, I = 70
- (2 4 1), 2.657 Å, 2θ = 33.7°, I = 37

Cell and atoms:
abc: 14.967 13.430 7.575
angles: 90.00 109.48 90.00
Space group C2 (No. 5)
Asymmetric unit:
1 Ca 0.238 0.000 0.222
2 Al 0.127 0.806 0.236
3 Al 0.128 0.194 0.239
4 Si 0.082 0.118 0.822
5 Si 0.082 0.883 0.821
6 Si 0.240 0.884 0.646
7 Si 0.241 0.116 0.648
8 O 0.000 0.388 0.000
9 O 0.011 0.186 0.228
10 O 0.011 0.815 0.230
11 O 0.047 0.437 0.915
12 O 0.055 0.001 0.772
13 O 0.069 0.561 0.554
14 O 0.094 0.577 0.725
15 O 0.144 0.877 0.047
16 O 0.145 0.125 0.048
17 O 0.150 0.155 0.705
18 O 0.150 0.846 0.704
19 O 0.168 0.316 0.258
20 O 0.168 0.684 0.255
21 O 0.209 0.118 0.417
22 O 0.209 0.882 0.415
23 O 0.234 0.500 0.283